Diffraction record for Dy6YHo. The XRD peak list is calculated, not measured: it uses the GGA-PBE geometry in OQMD and Cu Kα (weighted mean of Kα1 and Kα2).
Neutral-atom scattering factors, no anomalous dispersion.

Crystal structure
```
Dy6YHo
1.0
7.230 0.000 0.000
-3.615 6.262 0.000
0.000 0.000 5.626
Dy Y Ho
6 1 1
direct
0.002 0.501 0.000
0.167 0.335 0.500
0.167 0.833 0.500
0.499 0.501 0.000
0.499 0.998 0.000
0.665 0.833 0.500
0.667 0.333 0.500
0.000 0.000 0.000
```

Most intense lines, 2θ = 15–90°, sorted by position:
two_theta	d_spacing	I (rel.)	h k l
28.5	3.131	24	2 0 0
31.8	2.813	24	0 0 2
32.7	2.736	100	2 0 1
43.2	2.093	16	2 0 2
50.5	1.808	20	2 2 0
57.3	1.609	20	2 0 3
60.9	1.521	22	2 2 2
61.5	1.508	16	4 0 1
83.5	1.158	14	4 2 1
88.0	1.110	8	2 2 4